[1]
Simulated powder X-ray diffraction pattern
Compound: Mg3PbBr8
Radiation: λ = 1.5418 Å (Cu Kα)
Structure: a structure optimized by DFT (GGA-PBE)
Neutral-atom scattering factors, no anomalous dispersion.

Largest 6 diffraction maxima, by angle, 15° ≤ 2θ ≤ 90°:
| two_theta | I (rel.) |
| --- | --- |
| 26.8 | 22 |
| 30.5 | 100 |
| 30.9 | 50 |
| 39.3 | 21 |
| 43.2 | 34 |
| 44.7 | 50 |

Atomic structure:
Unit cell a=8.118 b=8.118 c=8.501 alpha=119.49 beta=119.49 gamma=59.98
Element x y z (fractional)
1 Mg 0.000 0.000 0.000
2 Mg 0.000 0.500 0.000
3 Mg 0.500 0.000 0.000
4 Pb 0.500 0.500 0.000
5 Br 0.212 0.758 0.221
6 Br 0.240 0.240 0.213
7 Br 0.242 0.242 0.779
8 Br 0.242 0.788 0.779
9 Br 0.758 0.212 0.221
10 Br 0.758 0.758 0.221
11 Br 0.760 0.760 0.787
12 Br 0.788 0.242 0.779

---

[2]
Simulated powder X-ray diffraction pattern
Compound: MgPb2Br
Radiation: λ = 1.5418 Å (Cu Kα)
Structure: a structure optimized by DFT (GGA-PBE)
Neutral-atom scattering factors, no anomalous dispersion.

Largest 6 diffraction maxima, by angle, 15° ≤ 2θ ≤ 90°:
| two_theta | I (rel.) |
| --- | --- |
| 27.1 | 53 |
| 31.4 | 100 |
| 36.5 | 45 |
| 37.6 | 39 |
| 60.1 | 22 |
| 62.5 | 29 |

Atomic structure:
Unit cell a=3.483 b=3.483 c=9.893 alpha=90.00 beta=90.00 gamma=90.00
Element x y z (fractional)
1 Mg 0.000 0.000 0.000
2 Pb 0.000 0.000 0.476
3 Pb 0.500 0.500 0.228
4 Br 0.500 0.500 0.846

---

[3]
Simulated powder X-ray diffraction pattern
Compound: MgPdSe2Br
Radiation: λ = 1.5418 Å (Cu Kα)
Structure: a structure optimized by DFT (GGA-PBE)
Neutral-atom scattering factors, no anomalous dispersion.

Largest 6 diffraction maxima, by angle, 15° ≤ 2θ ≤ 90°:
| two_theta | I (rel.) |
| --- | --- |
| 17.5 | 49 |
| 17.8 | 100 |
| 30.9 | 47 |
| 35.4 | 45 |
| 36.0 | 87 |
| 51.4 | 61 |

Atomic structure:
Unit cell a=4.996 b=4.996 c=5.067 alpha=90.00 beta=90.00 gamma=90.00
Element x y z (fractional)
1 Mg 0.000 0.000 0.000
2 Pd 0.500 0.500 0.500
3 Se 0.000 0.500 0.500
4 Se 0.500 0.000 0.500
5 Br 0.500 0.500 0.000

---

[4]
Simulated powder X-ray diffraction pattern
Compound: Rb2PuMgBr6
Radiation: λ = 1.5418 Å (Cu Kα)
Structure: a structure optimized by DFT (GGA-PBE)
Neutral-atom scattering factors, no anomalous dispersion.

Largest 6 diffraction maxima, by angle, 15° ≤ 2θ ≤ 90°:
| two_theta | I (rel.) |
| --- | --- |
| 16.8 | 30 |
| 22.6 | 26 |
| 27.5 | 21 |
| 30.2 | 100 |
| 35.5 | 34 |
| 46.1 | 45 |

Atomic structure:
Unit cell a=14.574 b=14.574 c=14.574 alpha=31.34 beta=31.34 gamma=31.34
Element x y z (fractional)
1 Rb 0.134 0.134 0.134
2 Rb 0.302 0.302 0.302
3 Rb 0.698 0.698 0.698
4 Rb 0.866 0.866 0.866
5 Pu 0.414 0.414 0.414
6 Pu 0.586 0.586 0.586
7 Mg 0.000 0.000 0.000
8 Mg 0.500 0.500 0.500
9 Br 0.136 0.625 0.625
10 Br 0.198 0.198 0.717
11 Br 0.198 0.717 0.198
12 Br 0.283 0.802 0.802
13 Br 0.375 0.375 0.864
14 Br 0.375 0.864 0.375
15 Br 0.625 0.136 0.625
16 Br 0.625 0.625 0.136
17 Br 0.717 0.198 0.198
18 Br 0.802 0.283 0.802
19 Br 0.802 0.802 0.283
20 Br 0.864 0.375 0.375

---

[5]
Simulated powder X-ray diffraction pattern
Compound: Rb2MgBr2
Radiation: λ = 1.5418 Å (Cu Kα)
Structure: a structure optimized by DFT (GGA-PBE)
Neutral-atom scattering factors, no anomalous dispersion.

Largest 6 diffraction maxima, by angle, 15° ≤ 2θ ≤ 90°:
| two_theta | I (rel.) |
| --- | --- |
| 28.7 | 36 |
| 29.3 | 100 |
| 36.5 | 13 |
| 38.8 | 12 |
| 52.3 | 13 |
| 54.7 | 25 |

Atomic structure:
Unit cell a=9.845 b=9.845 c=4.233 alpha=90.00 beta=90.00 gamma=90.00
Element x y z (fractional)
1 Rb 0.143 0.357 0.000
2 Rb 0.357 0.857 0.000
3 Rb 0.643 0.143 0.000
4 Rb 0.857 0.643 0.000
5 Mg 0.000 0.000 0.000
6 Mg 0.500 0.500 0.000
7 Br 0.153 0.653 0.500
8 Br 0.347 0.153 0.500
9 Br 0.653 0.847 0.500
10 Br 0.847 0.347 0.500

---

[6]
Simulated powder X-ray diffraction pattern
Compound: Rb4MgBr6
Radiation: λ = 1.5418 Å (Cu Kα)
Structure: a structure optimized by DFT (GGA-PBE)
Neutral-atom scattering factors, no anomalous dispersion.

Largest 6 diffraction maxima, by angle, 15° ≤ 2θ ≤ 90°:
| two_theta | I (rel.) |
| --- | --- |
| 23.2 | 27 |
| 28.6 | 41 |
| 29.9 | 32 |
| 31.6 | 100 |
| 32.5 | 29 |
| 57.4 | 27 |

Atomic structure:
Unit cell a=9.410 b=9.410 c=9.410 alpha=89.23 beta=89.23 gamma=89.23
Element x y z (fractional)
1 Rb 0.124 0.750 0.376
2 Rb 0.250 0.250 0.250
3 Rb 0.250 0.624 0.876
4 Rb 0.376 0.124 0.750
5 Rb 0.624 0.876 0.250
6 Rb 0.750 0.376 0.124
7 Rb 0.750 0.750 0.750
8 Rb 0.876 0.250 0.624
9 Mg 0.000 0.000 0.000
10 Mg 0.500 0.500 0.500
11 Br 0.059 0.932 0.722
12 Br 0.068 0.278 0.941
13 Br 0.222 0.432 0.559
14 Br 0.278 0.941 0.068
15 Br 0.432 0.559 0.222
16 Br 0.441 0.778 0.568
17 Br 0.559 0.222 0.432
18 Br 0.568 0.441 0.778
19 Br 0.722 0.059 0.932
20 Br 0.778 0.568 0.441
21 Br 0.932 0.722 0.059
22 Br 0.941 0.068 0.278

---

[7]
Simulated powder X-ray diffraction pattern
Compound: Rb2MgSnBr6
Radiation: λ = 1.5418 Å (Cu Kα)
Structure: a structure optimized by DFT (GGA-PBE)
Neutral-atom scattering factors, no anomalous dispersion.

Largest 6 diffraction maxima, by angle, 15° ≤ 2θ ≤ 90°:
| two_theta | I (rel.) |
| --- | --- |
| 27.4 | 80 |
| 31.8 | 100 |
| 45.5 | 71 |
| 54.0 | 32 |
| 56.6 | 24 |
| 75.4 | 30 |

Atomic structure:
Unit cell a=7.970 b=7.970 c=7.970 alpha=60.00 beta=60.00 gamma=60.00
Element x y z (fractional)
1 Rb 0.250 0.250 0.250
2 Rb 0.750 0.750 0.750
3 Mg 0.000 0.000 0.000
4 Sn 0.500 0.500 0.500
5 Br 0.239 0.239 0.761
6 Br 0.239 0.761 0.239
7 Br 0.239 0.761 0.761
8 Br 0.761 0.239 0.239
9 Br 0.761 0.239 0.761
10 Br 0.761 0.761 0.239

---

[8]
Simulated powder X-ray diffraction pattern
Compound: RbMgTlBr4
Radiation: λ = 1.5418 Å (Cu Kα)
Structure: a structure optimized by DFT (GGA-PBE)
Neutral-atom scattering factors, no anomalous dispersion.

Largest 6 diffraction maxima, by angle, 15° ≤ 2θ ≤ 90°:
| two_theta | I (rel.) |
| --- | --- |
| 25.9 | 47 |
| 26.1 | 43 |
| 28.5 | 46 |
| 28.7 | 51 |
| 30.3 | 100 |
| 37.8 | 42 |

Atomic structure:
Unit cell a=7.699 b=7.785 c=9.527 alpha=90.00 beta=108.41 gamma=90.00
Element x y z (fractional)
1 Rb 0.229 0.250 0.435
2 Rb 0.771 0.750 0.565
3 Mg 0.270 0.750 0.193
4 Mg 0.730 0.250 0.807
5 Tl 0.284 0.250 0.953
6 Tl 0.716 0.750 0.047
7 Br 0.077 0.750 0.361
8 Br 0.078 0.750 0.927
9 Br 0.488 0.000 0.252
10 Br 0.488 0.500 0.252
11 Br 0.512 0.000 0.748
12 Br 0.512 0.500 0.748
13 Br 0.922 0.250 0.073
14 Br 0.923 0.250 0.639